[1]
Starting from a cell relaxed with PBE, the XRD peak list of PbBr5 was simulated for Cu Ka.

Crystal structure
```
12
Lattice="3.8458 0.0000 0.0000 0.0000 18.3744 0.0000 -1.8908 0.0000 6.6152" Properties=species:S:1:pos:R:3 pbc="T T T"
Pb 0.0438 4.5936 2.3387
Pb 1.9112 13.7808 4.2765
Br -0.0031 10.0090 0.8641
Br -0.0031 17.5527 0.8641
Br -0.0098 11.6921 3.2479
Br -0.0098 15.8695 3.2479
Br -0.0104 13.7808 6.4831
Br 1.9654 4.5936 0.1322
Br 1.9648 2.5049 3.3674
Br 1.9648 6.6823 3.3674
Br 1.9581 0.8218 5.7511
Br 1.9581 8.3655 5.7511
```

Peak list (6 most intense, 5° ≤ 2θ ≤ 70°, sorted by position)
2θ/deg, I (rel.)
9.63, 79
14.23, 41
16.51, 46
19.75, 85
28.22, 100
36.56, 46

[2]
Starting from a cell relaxed with PBE, the XRD peak list of Pb2Br3 was simulated for Cu Ka.

Crystal structure
```
10
Lattice="4.2124 2.4320 6.0239 -4.2124 2.4320 6.0239 0.0000 -4.8640 6.0239" Properties=species:S:1:pos:R:3 pbc="T T T"
Pb 0.0000 0.0000 2.8046
Pb 0.0000 0.0000 6.2313
Pb 0.0000 0.0000 11.8405
Pb 0.0000 0.0000 15.2671
Br -2.8470 -0.0672 7.5299
Br -1.3653 -2.4992 10.5418
Br 1.4817 -2.4320 7.5299
Br -1.4817 2.4320 10.5418
Br 1.3653 2.4992 7.5299
Br 2.8470 0.0672 10.5419
```

Peak list (6 most intense, 5° ≤ 2θ ≤ 70°, sorted by position)
2θ/deg, I (rel.)
15.61, 41
21.09, 64
23.16, 54
25.81, 47
36.68, 100
36.96, 85

[3]
Starting from a cell relaxed with PBE, the XRD peak list of PbBr5 was simulated for Cu Ka.

Crystal structure
```
6
Lattice="5.4228 -2.1764 0.0000 5.4228 2.1764 0.0000 -5.1458 0.0000 9.6132" Properties=species:S:1:pos:R:3 pbc="T T T"
Pb 0.0000 0.0000 0.0000
Br -0.5176 0.0000 7.5420
Br 1.6174 0.0000 5.7703
Br 2.8896 0.0000 3.6820
Br 5.2258 0.0000 2.2303
Br 7.8288 0.0000 0.1234
```

Peak list (6 most intense, 5° ≤ 2θ ≤ 70°, sorted by position)
2θ/deg, I (rel.)
9.20, 83
18.56, 32
25.95, 100
31.97, 32
40.45, 36
41.50, 36

[4]
Starting from a cell relaxed with PBE, the XRD peak list of Pb3Br4 was simulated for Cu Ka.

Crystal structure
```
7
Lattice="6.6793 0.0000 0.0000 -3.3396 5.7844 0.0000 0.0000 0.0000 5.6513" Properties=species:S:1:pos:R:3 pbc="T T T"
Pb -1.6698 2.8922 0.0000
Pb 3.3396 0.0000 0.0000
Pb 1.6698 2.8922 0.0000
Br 0.0000 0.0000 1.4289
Br 0.0000 0.0000 4.2224
Br 0.0000 3.8563 2.8257
Br 3.3396 1.9281 2.8257
```

Peak list (6 most intense, 5° ≤ 2θ ≤ 70°, sorted by position)
2θ/deg, I (rel.)
15.68, 45
30.92, 69
31.11, 39
34.85, 100
35.35, 41
52.95, 25

[5]
Starting from a cell relaxed with PBE, the XRD peak list of Pb2Br was simulated for Cu Ka.

Crystal structure
```
6
Lattice="6.0026 0.0000 0.0000 -3.0013 5.1984 0.0000 0.0000 0.0000 6.1936" Properties=species:S:1:pos:R:3 pbc="T T T"
Pb 0.0000 0.0000 0.0000
Pb 0.0000 0.0000 3.0968
Pb 0.0000 3.4656 1.5484
Pb 3.0013 1.7328 4.6452
Br 0.0000 3.4656 4.6452
Br 3.0013 1.7328 1.5484
```

Peak list (6 most intense, 5° ≤ 2θ ≤ 70°, sorted by position)
2θ/deg, I (rel.)
29.77, 100
33.69, 73
45.56, 32
52.83, 21
55.38, 36
68.14, 20

[6]
Starting from a cell relaxed with PBE, the XRD peak list of PmPbBr5 was simulated for Cu Ka.

Crystal structure
```
14
Lattice="8.4881 0.0000 0.0000 0.0000 4.3710 0.0000 -0.7995 0.0000 13.9416" Properties=species:S:1:pos:R:3 pbc="T T T"
Pm 0.6045 1.0928 2.0792
Pm 7.0840 3.2783 11.8624
Pb 3.1852 3.2783 5.0361
Pb 4.5033 1.0928 8.9055
Br 0.3272 1.0928 11.0764
Br 0.9250 1.0928 5.0390
Br 1.5039 3.2783 0.2050
Br 2.5442 3.2783 7.9745
Br 3.4335 1.0928 2.5020
Br 4.2550 3.2783 11.4396
Br 5.1444 1.0928 5.9671
Br 6.1847 1.0928 13.7366
Br 6.7636 3.2783 8.9025
Br 7.3613 3.2783 2.8652
```

Peak list (6 most intense, 5° ≤ 2θ ≤ 70°, sorted by position)
2θ/deg, I (rel.)
11.91, 100
23.98, 25
26.56, 29
29.35, 38
29.58, 28
41.31, 20

[7]
Starting from a cell relaxed with PBE, the XRD peak list of PrPbBr5 was simulated for Cu Ka.

Crystal structure
```
14
Lattice="8.4884 0.0000 0.0000 0.0000 4.4210 0.0000 -0.7678 0.0000 14.0430" Properties=species:S:1:pos:R:3 pbc="T T T"
Pr 0.6071 1.1052 2.1095
Pr 7.1135 3.3157 11.9334
Pb 3.2015 3.3157 5.0947
Pb 4.5191 1.1052 8.9483
Br 0.3775 1.1052 11.1323
Br 0.9547 1.1052 5.1050
Br 1.5208 3.3157 0.2111
Br 2.5757 3.3157 8.0232
Br 3.4695 1.1052 2.5534
Br 4.2511 3.3157 11.4896
Br 5.1449 1.1052 6.0197
Br 6.1998 1.1052 13.8319
Br 6.7659 3.3157 8.9380
Br 7.3431 3.3157 2.9106
```

Peak list (6 most intense, 5° ≤ 2θ ≤ 70°, sorted by position)
2θ/deg, I (rel.)
11.90, 100
23.75, 24
26.32, 31
29.19, 40
29.35, 29
40.82, 22

[8]
Starting from a cell relaxed with PBE, the XRD peak list of Pr2PbBr8 was simulated for Cu Ka.

Crystal structure
```
11
Lattice="11.6344 -2.1181 0.0000 11.6344 2.1181 0.0000 -1.1186 0.0000 8.3424" Properties=species:S:1:pos:R:3 pbc="T T T"
Pr 3.3367 0.0000 2.8276
Pr 18.8135 0.0000 5.5148
Pb 11.6344 0.0000 0.0000
Br 0.2409 0.0000 2.1578
Br 4.9248 0.0000 5.5969
Br 7.4879 0.0000 7.7892
Br 8.3805 0.0000 3.8748
Br 13.7697 0.0000 4.4675
Br 14.6623 0.0000 0.5532
Br 17.2254 0.0000 2.7455
Br 21.9093 0.0000 6.1846
```

Peak list (6 most intense, 5° ≤ 2θ ≤ 70°, sorted by position)
2θ/deg, I (rel.)
12.24, 100
29.65, 23
29.95, 50
37.28, 26
37.52, 20
38.84, 19